The following is a computed PXRD pattern of Pm2Tm3Ga4. It was derived from a structure optimized by DFT (PBE), using Cu Ka.

Crystal structure
```
18
Lattice="7.900 0.000 0.000 0.000 7.918 0.000 -2.216 0.000 7.210" Properties=species:S:1:pos:R:3 pbc="T T T"
Pm 1.353 1.427 0.541
Pm 0.245 2.532 4.146
Pm 5.439 5.386 3.064
Pm 4.331 6.491 6.669
Tm 1.362 5.349 1.805
Tm 0.254 6.528 5.410
Tm 2.842 0.000 3.605
Tm 3.950 3.959 0.000
Tm 5.431 1.390 1.800
Tm 4.323 2.569 5.405
Ga -1.288 4.198 6.251
Ga -0.180 7.679 2.646
Ga 1.962 0.951 6.321
Ga 3.070 3.008 2.716
Ga 2.614 4.910 4.495
Ga 3.722 6.967 0.889
Ga 5.864 0.239 4.565
Ga 6.972 3.720 0.960
```

Largest 10 diffraction maxima, low angle first, 2θ = 5–70°:
- d = 2.997 Å, I 16
- d = 2.888 Å, I 20
- d = 2.754 Å, I 100
- d = 2.732 Å, I 42
- d = 2.705 Å, I 20
- d = 2.517 Å, I 18
- d = 2.479 Å, I 30
- d = 2.427 Å, I 22
- d = 2.396 Å, I 38
- d = 1.684 Å, I 20

---

The following is a computed PXRD pattern of Pm4TmGa3. It was derived from a structure optimized by DFT (PBE), using Cu Ka.

Crystal structure
```
16
Lattice="-5.907 5.907 3.057 5.907 -5.907 3.057 5.907 5.907 -3.057" Properties=species:S:1:pos:R:3 pbc="T T T"
Pm 9.265 1.041 0.000
Pm 1.041 2.549 0.000
Pm 6.948 3.358 0.000
Pm 3.358 4.866 0.000
Pm 2.549 1.041 3.057
Pm -1.041 2.549 3.057
Pm 4.866 3.358 3.057
Pm -3.358 4.866 3.057
Tm 5.907 0.000 1.529
Tm 0.000 5.907 1.529
Ga 4.084 1.823 0.000
Ga 0.000 0.000 1.529
Ga 4.084 -1.823 3.057
Ga 1.823 7.730 0.000
Ga 0.000 0.000 4.586
Ga 1.823 4.084 3.057
```

Largest 10 diffraction maxima, low angle first, 2θ = 5–70°:
- d = 3.057 Å, I 26
- d = 2.888 Å, I 97
- d = 2.715 Å, I 57
- d = 2.642 Å, I 79
- d = 2.595 Å, I 100
- d = 2.467 Å, I 50
- d = 1.731 Å, I 21
- d = 1.671 Å, I 28
- d = 1.661 Å, I 26
- d = 1.444 Å, I 20

---

The following is a computed PXRD pattern of Pm2Tm2ZnGa4. It was derived from a structure optimized by DFT (PBE), using Cu Ka.

Crystal structure
```
9
Lattice="-3.494 3.494 4.418 3.494 -3.494 4.418 3.494 3.494 -4.418" Properties=species:S:1:pos:R:3 pbc="T T T"
Pm 0.000 0.000 1.681
Pm 0.000 0.000 7.155
Tm 3.494 0.000 2.209
Tm 0.000 3.494 2.209
Zn 0.000 0.000 4.418
Ga 1.792 1.792 0.000
Ga 1.703 -1.703 4.418
Ga -1.703 1.703 4.418
Ga 1.703 1.703 4.418
```

Largest 10 diffraction maxima, low angle first, 2θ = 5–70°:
- d = 3.494 Å, I 26
- d = 3.294 Å, I 10
- d = 2.741 Å, I 100
- d = 2.714 Å, I 20
- d = 2.471 Å, I 62
- d = 2.209 Å, I 12
- d = 2.143 Å, I 18
- d = 1.747 Å, I 22
- d = 1.647 Å, I 19
- d = 1.473 Å, I 30

---

The following is a computed PXRD pattern of PmY3Ga4. It was derived from a structure optimized by DFT (PBE), using Cu Ka.

Crystal structure
```
8
Lattice="5.094 0.000 0.000 0.000 5.094 0.000 0.000 0.000 7.200" Properties=species:S:1:pos:R:3 pbc="T T T"
Pm 0.000 0.000 0.000
Y 0.000 0.000 3.600
Y 2.547 2.547 0.000
Y 2.547 2.547 3.600
Ga 0.000 2.547 1.838
Ga 0.000 2.547 5.362
Ga 2.547 0.000 1.838
Ga 2.547 0.000 5.362
```

Largest 10 diffraction maxima, low angle first, 2θ = 5–70°:
- d = 5.094 Å, I 1
- d = 4.158 Å, I 1
- d = 3.601 Å, I 4
- d = 3.221 Å, I 1
- d = 2.546 Å, I 100
- d = 2.172 Å, I 1
- d = 2.079 Å, I 1
- d = 1.801 Å, I 17
- d = 1.611 Å, I 2
- d = 1.470 Å, I 35

---

The following is a computed PXRD pattern of Pm4Y3Ga4. It was derived from a structure optimized by DFT (PBE), using Cu Ka.

Crystal structure
```
11
Lattice="-1.785 4.539 9.167 1.785 -4.539 9.167 1.785 4.539 -9.167" Properties=species:S:1:pos:R:3 pbc="T T T"
Pm 1.785 -2.933 6.117
Pm 0.000 1.606 3.050
Pm 1.785 2.933 6.117
Pm 0.000 7.473 3.050
Y 1.785 0.000 0.000
Y 0.000 0.000 7.454
Y 0.000 0.000 10.881
Ga 0.000 2.511 0.000
Ga 1.785 0.000 5.079
Ga 0.000 6.568 0.000
Ga 0.000 4.539 4.088
```

Largest 10 diffraction maxima, low angle first, 2θ = 5–70°:
- d = 3.083 Å, I 64
- d = 3.056 Å, I 32
- d = 2.774 Å, I 86
- d = 2.712 Å, I 100
- d = 2.690 Å, I 66
- d = 2.558 Å, I 48
- d = 2.535 Å, I 49
- d = 2.239 Å, I 37
- d = 1.842 Å, I 42
- d = 1.491 Å, I 38

---

The following is a computed PXRD pattern of Pm2YGa4. It was derived from a structure optimized by DFT (PBE), using Cu Ka.

Crystal structure
```
7
Lattice="-2.092 2.158 9.325 2.092 -2.158 9.325 2.092 2.158 -9.325" Properties=species:S:1:pos:R:3 pbc="T T T"
Pm 0.000 0.000 3.438
Pm 0.000 0.000 15.212
Y 2.092 0.000 0.000
Ga 0.000 0.000 6.679
Ga 2.092 0.000 8.107
Ga 0.000 2.158 1.218
Ga 0.000 0.000 11.972
```

Largest 10 diffraction maxima, low angle first, 2θ = 5–70°:
- d = 3.471 Å, I 17
- d = 2.859 Å, I 100
- d = 2.822 Å, I 56
- d = 2.525 Å, I 23
- d = 2.247 Å, I 29
- d = 2.159 Å, I 59
- d = 2.092 Å, I 26
- d = 1.681 Å, I 24
- d = 1.557 Å, I 21
- d = 1.502 Å, I 18

---

The following is a computed PXRD pattern of Pm6ZnGa. It was derived from a structure optimized by DFT (PBE), using Cu Ka.

Crystal structure
```
8
Lattice="-2.581 2.581 8.861 2.581 -2.581 8.861 2.581 2.581 -8.861" Properties=species:S:1:pos:R:3 pbc="T T T"
Pm 2.581 0.000 1.832
Pm 0.000 0.000 4.414
Pm 2.581 0.000 7.030
Pm 0.000 2.581 1.832
Pm 0.000 0.000 13.309
Pm 0.000 2.581 7.030
Zn 0.000 0.000 8.861
Ga 0.000 0.000 0.000
```

Largest 10 diffraction maxima, low angle first, 2θ = 5–70°:
- d = 3.375 Å, I 17
- d = 2.954 Å, I 11
- d = 2.817 Å, I 100
- d = 2.581 Å, I 47
- d = 2.215 Å, I 7
- d = 1.944 Å, I 13
- d = 1.825 Å, I 17
- d = 1.681 Å, I 12
- d = 1.594 Å, I 11
- d = 1.532 Å, I 32

---

The following is a computed PXRD pattern of Pm2Zn3Ga6. It was derived from a structure optimized by DFT (PBE), using Cu Ka.

Crystal structure
```
11
Lattice="4.863 -5.757 0.000 4.863 5.757 0.000 0.000 0.000 3.973" Properties=species:S:1:pos:R:3 pbc="T T T"
Pm 4.863 3.423 0.000
Pm 4.863 -3.423 0.000
Zn 2.909 0.000 0.000
Zn 4.863 0.000 1.987
Zn 6.817 0.000 0.000
Ga 1.174 0.000 1.987
Ga 2.970 1.780 1.987
Ga 2.970 -1.780 1.987
Ga 6.756 1.780 1.987
Ga 6.756 -1.780 1.987
Ga 8.552 0.000 1.987
```

Largest 10 diffraction maxima, low angle first, 2θ = 5–70°:
- d = 3.077 Å, I 27
- d = 2.714 Å, I 100
- d = 2.656 Å, I 57
- d = 2.477 Å, I 48
- d = 2.102 Å, I 27
- d = 1.987 Å, I 33
- d = 1.919 Å, I 26
- d = 1.698 Å, I 26
- d = 1.550 Å, I 22
- d = 1.380 Å, I 21

---

The following is a computed PXRD pattern of Pm3Zn2Ga. It was derived from a structure optimized by DFT (PBE), using Cu Ka.

Crystal structure
```
6
Lattice="3.643 0.000 0.000 0.000 3.643 0.000 0.000 0.000 11.120" Properties=species:S:1:pos:R:3 pbc="T T T"
Pm 0.000 0.000 0.000
Pm 0.000 0.000 3.698
Pm 0.000 0.000 7.422
Zn 1.822 1.822 1.813
Zn 1.822 1.822 9.307
Ga 1.822 1.822 5.560
```

Largest 10 diffraction maxima, low angle first, 2θ = 5–70°:
- d = 3.707 Å, I 7
- d = 3.643 Å, I 14
- d = 2.598 Å, I 100
- d = 2.576 Å, I 49
- d = 2.115 Å, I 6
- d = 1.853 Å, I 9
- d = 1.822 Å, I 17
- d = 1.652 Å, I 3
- d = 1.504 Å, I 18
- d = 1.492 Å, I 35

---

The following is a computed PXRD pattern of Pm3Zn3Ga. It was derived from a structure optimized by DFT (PBE), using Cu Ka.

Crystal structure
```
7
Lattice="-1.853 2.255 9.903 1.853 -2.255 9.903 1.853 2.255 -9.903" Properties=species:S:1:pos:R:3 pbc="T T T"
Pm 0.000 0.000 0.000
Pm 0.000 0.000 7.568
Pm 0.000 2.255 3.800
Zn 1.853 0.000 2.480
Zn 0.000 0.000 10.988
Zn 0.000 0.000 16.403
Ga 1.853 0.000 5.050
```

Largest 10 diffraction maxima, low angle first, 2θ = 5–70°:
- d = 3.724 Å, I 27
- d = 2.750 Å, I 100
- d = 2.706 Å, I 62
- d = 2.478 Å, I 22
- d = 2.397 Å, I 48
- d = 2.255 Å, I 32
- d = 1.853 Å, I 18
- d = 1.732 Å, I 33
- d = 1.466 Å, I 22
- d = 1.431 Å, I 21

---

The following is a computed PXRD pattern of Pm2Zn5Ga3. It was derived from a structure optimized by DFT (PBE), using Cu Ka.

Crystal structure
```
10
Lattice="4.246 0.000 0.000 0.000 4.246 0.000 0.000 0.000 10.584" Properties=species:S:1:pos:R:3 pbc="T T T"
Pm 0.000 2.123 2.638
Pm 2.123 0.000 7.946
Zn 0.000 0.000 0.000
Zn 0.000 0.000 5.292
Zn 0.000 2.123 9.235
Zn 2.123 0.000 1.349
Zn 2.123 2.123 0.000
Ga 0.000 2.123 6.799
Ga 2.123 0.000 3.786
Ga 2.123 2.123 5.292
```

Largest 10 diffraction maxima, low angle first, 2θ = 5–70°:
- d = 3.002 Å, I 17
- d = 2.714 Å, I 60
- d = 2.611 Å, I 100
- d = 2.123 Å, I 54
- d = 1.985 Å, I 8
- d = 1.894 Å, I 30
- d = 1.672 Å, I 28
- d = 1.521 Å, I 11
- d = 1.501 Å, I 18
- d = 1.413 Å, I 22

---

The following is a computed PXRD pattern of Pm2Zn9Ga3. It was derived from a structure optimized by DFT (PBE), using Cu Ka.

Crystal structure
```
28
Lattice="6.786 -3.960 0.000 6.786 3.960 0.000 0.000 0.000 9.190" Properties=species:S:1:pos:R:3 pbc="T T T"
Pm 2.201 1.251 2.297
Pm 2.201 -1.251 6.892
Pm 11.370 1.251 2.297
Pm 11.370 -1.251 6.892
Zn 4.649 2.482 0.847
Zn 4.649 2.482 3.748
Zn 6.786 2.782 2.297
Zn 6.786 1.281 5.155
Zn 6.786 1.281 8.629
Zn 8.922 2.482 0.847
Zn 8.922 2.482 3.748
Zn 5.493 0.381 2.297
Zn 5.493 -0.381 6.892
Zn 8.078 0.381 2.297
Zn 8.078 -0.381 6.892
Zn 4.649 -2.482 5.442
Zn 4.649 -2.482 8.342
Zn 6.786 -1.281 0.560
Zn 6.786 -1.281 4.034
Zn 6.786 -2.782 6.892
Zn 8.922 -2.482 5.442
Zn 8.922 -2.482 8.342
Ga 0.000 0.000 0.000
Ga 0.000 0.000 4.595
Ga 4.221 0.000 0.000
Ga 4.221 0.000 4.595
Ga 9.351 0.000 0.000
Ga 9.351 0.000 4.595
```

Largest 10 diffraction maxima, low angle first, 2θ = 5–70°:
- d = 3.205 Å, I 13
- d = 2.986 Å, I 16
- d = 2.729 Å, I 16
- d = 2.481 Å, I 17
- d = 2.423 Å, I 42
- d = 2.416 Å, I 100
- d = 2.297 Å, I 14
- d = 2.280 Å, I 73
- d = 2.260 Å, I 55
- d = 2.241 Å, I 22